Entry 1:
Ti2Ga2O7: theoretical XRD peak list (a wavelength of 1.5418 Å), based on a DFT-relaxed cell (PBE, Alexandria).
Kinematic intensities with the Lorentz-polarization factor, no thermal factor.

Structure:
```
data_Ti2Ga2O7
_chemical_formula_sum 'Ti4 Ga4 O14'
_space_group_name_H-M_alt 'P 1 21/c 1'
_space_group_IT_number 14
_space_group_name_Hall '-P 2ybc'
_cell_length_a 5.268
_cell_length_b 9.983
_cell_length_c 5.580
_cell_angle_alpha 90.00
_cell_angle_beta 99.59
_cell_angle_gamma 90.00
loop_
_atom_site_label
_atom_site_fract_x
_atom_site_fract_y
_atom_site_fract_z
_atom_site_occupancy
Ti1 0.168 0.113 0.328 1
Ga1 0.329 0.690 0.661 1
O1 0.000 0.000 0.500 1
O2 0.092 0.721 0.344 1
O3 0.308 0.504 0.651 1
O4 0.436 0.215 0.513 1
```

Largest 6 diffraction maxima, sorted by position, 2θ from 15° to 90°:
Position (°2θ)	d_spacing	I_rel	hkl
17.77	4.991	46	0 2 0
19.26	4.608	35	1 1 0
27.01	3.301	85	1 1 1
28.01	3.185	100	1 2 -1
33.80	2.652	33	0 1 2
59.08	1.564	37	2 5 -1

Entry 2:
NaSmS2: theoretical XRD peak list (a wavelength of 1.5418 Å), based on a DFT-relaxed cell (PBE, Alexandria).
Kinematic intensities with the Lorentz-polarization factor, no thermal factor.

Structure:
```
data_NaSmS2
_chemical_formula_sum 'Na3 Sm3 S6'
_space_group_name_H-M_alt 'R -3 m'
_space_group_IT_number 166
_space_group_name_Hall '-R 3 2"'
_cell_length_a 4.0781
_cell_length_b 4.0781
_cell_length_c 20.0763
_cell_angle_alpha 90.00
_cell_angle_beta 90.00
_cell_angle_gamma 120.00
loop_
_atom_site_label
_atom_site_fract_x
_atom_site_fract_y
_atom_site_fract_z
_atom_site_occupancy
Na1 0.0000 0.0000 0.0000 1
Sm1 0.0000 0.0000 0.5000 1
S1 0.0000 0.0000 0.2436 1
```

Largest 6 diffraction maxima, sorted by position, 2θ from 15° to 90°:
Position (°2θ)	d_spacing	I_rel	hkl
25.61	3.478	42	1 0 1
26.76	3.332	28	0 1 2
30.96	2.888	100	1 0 4
40.51	2.227	20	1 0 7
44.28	2.046	35	0 1 8
44.43	2.039	36	1 1 0

Entry 3:
CaPm2Ta2Rh5: theoretical XRD peak list (a wavelength of 1.5418 Å), based on a DFT-relaxed cell (PBE, Alexandria).
Kinematic intensities with the Lorentz-polarization factor, no thermal factor.

Structure:
```
data_CaPm2Ta2Rh5
_chemical_formula_sum 'Ca2 Pm4 Ta4 Rh10'
_space_group_name_H-M_alt 'P 4/m b m'
_space_group_IT_number 127
_space_group_name_Hall '-P 4 2ab'
_cell_length_a 10.442
_cell_length_b 10.442
_cell_length_c 3.790
_cell_angle_alpha 90.00
_cell_angle_beta 90.00
_cell_angle_gamma 90.00
loop_
_atom_site_label
_atom_site_fract_x
_atom_site_fract_y
_atom_site_fract_z
_atom_site_occupancy
Ca1 0.000 0.000 0.000 1
Pm1 0.179 0.321 0.000 1
Ta1 0.118 0.618 0.000 1
Rh1 0.000 0.500 0.500 1
Rh2 0.066 0.777 0.500 1
```

Largest 6 diffraction maxima, sorted by position, 2θ from 15° to 90°:
Position (°2θ)	d_spacing	I_rel	hkl
35.44	2.533	63	4 1 0
36.08	2.490	100	3 1 1
36.51	2.461	27	3 3 0
39.15	2.301	87	3 2 1
42.03	2.150	48	4 0 1
48.01	1.895	31	0 0 2